The following is a theoretical powder diffractogram of Sr2InReO6. It was derived from a structure optimized by DFT (PBE), using CuKα.
Kinematic intensities with the Lorentz-polarization factor, no thermal factor.

Largest 10 diffraction maxima, in order of rising 2θ, 2θ = 10–80°:
- (1 1 1), 4.739 Å, 2θ 18.72, I 6
- (2 0 0), 4.104 Å, 2θ 21.65, I 16
- (2 2 0), 2.902 Å, 2θ 30.81, I 100
- (3 1 1), 2.475 Å, 2θ 36.30, I 3
- (4 0 0), 2.052 Å, 2θ 44.13, I 31
- (4 2 0), 1.835 Å, 2θ 49.67, I 6
- (4 2 2), 1.675 Å, 2θ 54.79, I 40
- (4 4 0), 1.451 Å, 2θ 64.19, I 19
- (6 0 0), 1.368 Å, 2θ 68.60, I 3
- (6 2 0), 1.298 Å, 2θ 72.89, I 18

Cell and atoms:
```
data_Sr2InReO6
_space_group_name_H-M_alt 'F m -3 m'
_space_group_IT_number 225
_space_group_name_Hall '-F 4 2 3'
_cell_length_a 8.208
_cell_length_b 8.208
_cell_length_c 8.208
_cell_angle_alpha 90.00
_cell_angle_beta 90.00
_cell_angle_gamma 90.00
loop_
_atom_site_label
_atom_site_fract_x
_atom_site_fract_y
_atom_site_fract_z
_atom_site_occupancy
Sr1 0.250 0.250 0.250 1
In1 0.000 0.000 0.000 1
Re1 0.000 0.000 0.500 1
O1 0.000 0.000 0.260 1
```